For CsAsSe2, a PBE-relaxed structure gives the computed powder X-ray diffraction pattern in this record (Cu Ka).
Kinematic intensities with the Lorentz-polarization factor, no thermal factor.

Main lines, low angle first (10 to 90 degrees two-theta):
hkl 1 3 -2, 2θ = 24.03°, I 72.6; hkl 0 3 2, 2θ = 24.14°, I 38.2; hkl 1 2 -3, 2θ = 26.16°, I 37.7; hkl 2 1 0, 2θ = 27.42°, I 49.2; hkl 0 2 3, 2θ = 28.00°, I 82.3; hkl 2 2 -3, 2θ = 30.87°, I 100.0

Atomic structure:
```
CsAsSe2
1.0
7.276 0.000 0.000
0.000 15.563 0.000
-4.645 0.000 10.481
Cs As Se
8 8 16
direct
0.187 0.204 0.042 Cs
0.187 0.296 0.542 Cs
0.291 0.602 0.064 Cs
0.291 0.898 0.564 Cs
0.709 0.102 0.436 Cs
0.709 0.398 0.936 Cs
0.813 0.704 0.458 Cs
0.813 0.796 0.958 Cs
0.041 0.511 0.331 As
0.041 0.989 0.831 As
0.413 0.564 0.657 As
0.413 0.936 0.157 As
0.587 0.064 0.843 As
0.587 0.436 0.343 As
0.959 0.011 0.169 As
0.959 0.489 0.669 As
0.157 0.090 0.350 Se
0.157 0.410 0.850 Se
0.224 0.098 0.755 Se
0.224 0.402 0.255 Se
0.304 0.620 0.435 Se
0.304 0.880 0.935 Se
0.321 0.679 0.755 Se
0.321 0.821 0.255 Se
0.679 0.179 0.745 Se
0.679 0.321 0.245 Se
0.696 0.120 0.065 Se
0.696 0.380 0.565 Se
0.776 0.598 0.745 Se
0.776 0.902 0.245 Se
0.843 0.590 0.150 Se
0.843 0.910 0.650 Se
```